Record 1
For Li7Mn4CoO12, a cell relaxed with PBE+U gives the calculated powder XRD pattern in this record (Cu Kα (λ = 1.5418 Å)).
No peak broadening, texture or thermal motion is included.

Largest 8 diffraction maxima, by intensity, 2θ from 5° to 70°:
| index | two_theta | I/Imax |
| --- | --- | --- |
| 0 0 2 | 18.25 | 100 |
| 1 1 -3 | 43.34 | 28 |
| 1 -2 3 | 43.56 | 28 |
| 0 3 2 | 43.77 | 26 |
| 1 -2 1 | 36.09 | 24 |
| 2 -1 0 | 63.79 | 14 |
| 1 1 -1 | 35.97 | 12 |
| 0 0 1 | 9.09 | 11 |

```
data_Li7Mn4CoO12
_chemical_formula_sum 'Li7 Mn4 Co1 O12'
_cell_length_a 2.9175
_cell_length_b 7.7284
_cell_length_c 9.8891
_cell_angle_alpha 100.22
_cell_angle_beta 90.28
_cell_angle_gamma 100.77
_symmetry_space_group_name_H-M 'P 1'
_symmetry_Int_Tables_number 1
_symmetry_space_group_name_Hall 'P 1'
loop_
_atom_site_label
_atom_site_type_symbol
_atom_site_fract_x
_atom_site_fract_y
_atom_site_fract_z
Li1 Li 0.0000 0.0000 0.0000
Li2 Li 0.0748 0.1562 0.7713
Li3 Li 0.1576 0.3289 0.5314
Li4 Li 0.3250 0.6507 0.0049
Li5 Li 0.4961 0.0077 0.5420
Li6 Li 0.6545 0.3059 0.9900
Li7 Li 0.8176 0.6493 0.5362
Mn1 Mn 0.2411 0.4932 0.2679
Mn2 Mn 0.4113 0.8298 0.7710
Mn3 Mn 0.5751 0.1618 0.2671
Mn4 Mn 0.9084 0.8281 0.2706
Co1 Co 0.7286 0.4634 0.7627
O1 O 0.0315 0.0700 0.3764
O2 O 0.1138 0.2444 0.1587
O3 O 0.2064 0.4148 0.8887
O4 O 0.2875 0.5846 0.6579
O5 O 0.3701 0.7475 0.3775
O6 O 0.4456 0.9062 0.1625
O7 O 0.5246 0.0537 0.8850
O8 O 0.6223 0.2536 0.6426
O9 O 0.7004 0.4104 0.3763
O10 O 0.7880 0.5886 0.1618
O11 O 0.8713 0.7460 0.8782
O12 O 0.9420 0.8952 0.6566
```

---

Record 2
For Li7Mn4CoO12, a cell relaxed with PBE+U gives the calculated powder XRD pattern in this record (Cu Kα (λ = 1.5418 Å)).
No peak broadening, texture or thermal motion is included.

Largest 8 diffraction maxima, by intensity, 2θ from 5° to 70°:
| index | two_theta | I/Imax |
| --- | --- | --- |
| 0 1 1 | 18.34 | 100 |
| 2 2 2 | 44.27 | 56 |
| 1 0 -3 | 41.71 | 32 |
| 1 -1 2 | 36.37 | 24 |
| 1 1 -2 | 34.70 | 17 |
| 3 2 -1 | 62.55 | 16 |
| 0 2 -4 | 62.35 | 16 |
| 2 3 3 | 58.32 | 9 |

```
data_Li7Mn4CoO12
_chemical_formula_sum 'Li7 Mn4 Co1 O12'
_cell_length_a 5.0305
_cell_length_b 5.8249
_cell_length_c 7.9471
_cell_angle_alpha 79.41
_cell_angle_beta 80.32
_cell_angle_gamma 73.24
_symmetry_space_group_name_H-M 'P 1'
_symmetry_Int_Tables_number 1
_symmetry_space_group_name_Hall 'P 1'
loop_
_atom_site_label
_atom_site_type_symbol
_atom_site_fract_x
_atom_site_fract_y
_atom_site_fract_z
Li1 Li 0.0000 0.0000 0.0000
Li2 Li 0.0015 0.4999 0.0001
Li3 Li 0.0171 0.6649 0.3202
Li4 Li 0.4848 0.1706 0.8492
Li5 Li 0.4961 0.4990 0.5058
Li6 Li 0.5187 0.8304 0.1602
Li7 Li 0.9943 0.3331 0.6827
Mn1 Mn 0.0095 0.1649 0.3338
Mn2 Mn 0.4976 0.9963 0.5084
Mn3 Mn 0.5001 0.6622 0.8437
Mn4 Mn 0.5146 0.3330 0.1638
Co1 Co 0.9925 0.8275 0.6858
O1 O 0.2399 0.9740 0.7629
O2 O 0.2444 0.3093 0.4276
O3 O 0.2471 0.1724 0.1164
O4 O 0.2493 0.8512 0.4231
O5 O 0.2529 0.5249 0.7502
O6 O 0.2908 0.6489 0.0717
O7 O 0.7304 0.6849 0.6108
O8 O 0.7342 0.3523 0.9081
O9 O 0.7339 0.8312 0.9092
O10 O 0.7599 0.4725 0.2618
O11 O 0.7705 0.0160 0.2487
O12 O 0.7727 0.1419 0.5654
```

---

Record 3
For Li7Mn4CoO12, a cell relaxed with PBE+U gives the calculated powder XRD pattern in this record (Cu Kα (λ = 1.5418 Å)).
No peak broadening, texture or thermal motion is included.

Largest 8 diffraction maxima, by intensity, 2θ from 5° to 70°:
| index | two_theta | I/Imax |
| --- | --- | --- |
| 0 0 1 | 18.42 | 100 |
| 1 3 1 | 44.20 | 54 |
| 2 0 -2 | 42.62 | 30 |
| 1 3 0 | 36.40 | 24 |
| 3 3 -1 | 63.18 | 15 |
| 1 3 -3 | 62.98 | 15 |
| 2 0 -1 | 35.32 | 14 |
| 0 1 0 | 10.25 | 12 |

```
data_Li7Mn4CoO12
_chemical_formula_sum 'Li7 Mn4 Co1 O12'
_cell_length_a 5.1400
_cell_length_b 8.6329
_cell_length_c 5.1591
_cell_angle_alpha 90.00
_cell_angle_beta 110.95
_cell_angle_gamma 90.00
_symmetry_space_group_name_H-M 'P 1 2 1'
_symmetry_Int_Tables_number 3
_symmetry_space_group_name_Hall 'P 2y'
loop_
_atom_site_label
_atom_site_type_symbol
_atom_site_fract_x
_atom_site_fract_y
_atom_site_fract_z
Li1 Li 0.0000 0.0000 0.0000
Li2 Li 0.0000 0.1594 0.5000
Li3 Li 0.0000 0.3231 0.0000
Li4 Li 0.0000 0.6652 0.0000
Li5 Li 0.5000 0.1620 0.0000
Li6 Li 0.5000 0.4933 0.0000
Li7 Li 0.5000 0.8300 0.0000
Mn1 Mn 0.0000 0.4963 0.5000
Mn2 Mn 0.5000 0.3275 0.5000
Mn3 Mn 0.5000 0.6631 0.5000
Mn4 Mn 0.5000 0.9988 0.5000
Co1 Co 0.0000 0.8320 0.5000
O1 O 0.2233 0.6660 0.7331
O2 O 0.2520 0.8328 0.2850
O3 O 0.2566 0.3368 0.7163
O4 O 0.2596 0.9862 0.7200
O5 O 0.2780 0.4936 0.2653
O6 O 0.2804 0.1623 0.2682
```

---

Record 4
For Li7Mn2Co3O12, a cell relaxed with PBE+U gives the calculated powder XRD pattern in this record (Cu Kα (λ = 1.5418 Å)).
No peak broadening, texture or thermal motion is included.

Largest 8 diffraction maxima, by intensity, 2θ from 5° to 70°:
| index | two_theta | I/Imax |
| --- | --- | --- |
| 0 1 0 | 18.36 | 100 |
| 1 1 -3 | 42.95 | 30 |
| 1 1 3 | 43.75 | 28 |
| 2 -2 0 | 44.36 | 27 |
| 0 0 6 | 63.05 | 15 |
| 1 0 -3 | 35.61 | 14 |
| 1 0 3 | 36.10 | 13 |
| 2 -1 0 | 36.58 | 12 |

```
data_Li7Mn2Co3O12
_chemical_formula_sum 'Li7 Mn2 Co3 O12'
_cell_length_a 4.9997
_cell_length_b 5.0864
_cell_length_c 8.8435
_cell_angle_alpha 90.55
_cell_angle_beta 90.63
_cell_angle_gamma 108.20
_symmetry_space_group_name_H-M 'P 1'
_symmetry_Int_Tables_number 1
_symmetry_space_group_name_Hall 'P 1'
loop_
_atom_site_label
_atom_site_type_symbol
_atom_site_fract_x
_atom_site_fract_y
_atom_site_fract_z
Li1 Li 0.0000 0.0000 0.0000
Li2 Li 0.0039 0.0016 0.3377
Li3 Li 0.4902 0.9952 0.8518
Li4 Li 0.4953 0.4942 0.0073
Li5 Li 0.5002 0.9998 0.1677
Li6 Li 0.5087 0.0045 0.5080
Li7 Li 0.9927 0.9936 0.6833
Mn1 Mn 0.5050 0.5064 0.3400
Mn2 Mn 0.9975 0.4912 0.8466
Co1 Co 0.9997 0.4994 0.1678
Co2 Co 0.0005 0.5069 0.5102
Co3 Co 0.4981 0.4930 0.6851
O1 O 0.2183 0.7287 0.0020
O2 O 0.2319 0.2594 0.8374
O3 O 0.2427 0.7157 0.6872
O4 O 0.2538 0.2778 0.1924
O5 O 0.2626 0.7340 0.3453
O6 O 0.2737 0.2928 0.5086
O7 O 0.7442 0.7213 0.1889
O8 O 0.7463 0.7178 0.8297
O9 O 0.7469 0.2755 0.3442
O10 O 0.7549 0.2748 0.6800
O11 O 0.7557 0.7340 0.4994
O12 O 0.7728 0.2634 0.0001
```